# 1
Computed XRD peak list
Compound: Pr3HgPt2
Radiation: a wavelength of 1.5418 Å
Structure: the GGA-PBE geometry in Alexandria

Main lines, by angle (2θ = 10–80°):
2theta, d (Å), Rel. int.
30.2, 2.955, 18
33.2, 2.696, 100
38.6, 2.332, 20
39.1, 2.304, 17
45.5, 1.992, 13
49.8, 1.831, 9
55.6, 1.652, 12
61.2, 1.515, 11
66.4, 1.407, 22
76.3, 1.249, 10

Atomic structure:
```
data_Pr3HgPt2
_space_group_name_H-M_alt 'C m m m'
_space_group_IT_number 65
_space_group_name_Hall '-C 2 2'
_cell_length_a 3.985
_cell_length_b 17.731
_cell_length_c 4.665
_cell_angle_alpha 90.00
_cell_angle_beta 90.00
_cell_angle_gamma 90.00
loop_
_atom_site_label
_atom_site_type_symbol
_atom_site_fract_x
_atom_site_fract_y
_atom_site_fract_z
Pr1 Pr 0.000 0.000 0.000
Pr2 Pr 0.000 0.161 0.500
Hg1 Hg 0.000 0.500 0.500
Pt1 Pt 0.000 0.370 0.000
```


# 2
Computed XRD peak list
Compound: Ba3B6O11F2
Radiation: a wavelength of 1.5418 Å
Structure: the GGA-PBE geometry in Alexandria

Main lines, by angle (2θ = 10–80°):
2theta, d (Å), Rel. int.
20.6, 4.301, 100
24.8, 3.588, 42
25.1, 3.551, 22
27.4, 3.259, 26
27.8, 3.208, 41
29.4, 3.042, 27
29.7, 3.009, 28
30.3, 2.950, 23
36.6, 2.454, 23
44.4, 2.042, 44

Atomic structure:
```
data_Ba3B6O11F2
_space_group_name_H-M_alt 'P 1 21 1'
_space_group_IT_number 4
_cell_length_a 6.651
_cell_length_b 8.596
_cell_length_c 9.835
_cell_angle_alpha 90.00
_cell_angle_beta 101.50
_cell_angle_gamma 90.00
loop_
_space_group_symop_operation_xyz
'x,y,z'
'-x,y+1/2,-z'
loop_
_atom_site_label
_atom_site_type_symbol
_atom_site_fract_x
_atom_site_fract_y
_atom_site_fract_z
Ba1 Ba 0.005 0.000 0.238
Ba2 Ba 0.437 0.848 0.967
Ba3 Ba 0.440 0.350 0.455
B1 B 0.004 0.678 0.454
B2 B 0.079 0.148 0.933
B3 B 0.080 0.373 0.135
B4 B 0.088 0.903 0.636
B5 B 0.292 0.617 0.201
B6 B 0.306 0.139 0.734
O1 O 0.011 0.324 0.265
O2 O 0.055 0.523 0.448
O3 O 0.057 0.979 0.958
O4 O 0.118 0.227 0.068
O5 O 0.121 0.708 0.158
O6 O 0.138 0.777 0.539
O7 O 0.177 0.237 0.623
O8 O 0.256 0.181 0.867
O9 O 0.284 0.975 0.698
O10 O 0.286 0.458 0.184
O11 O 0.474 0.691 0.261
F1 F 0.361 0.567 0.885
F2 F 0.369 0.062 0.386
```


# 3
Computed XRD peak list
Compound: Ce3PuCd2
Radiation: a wavelength of 1.5418 Å
Structure: the GGA-PBE geometry in Alexandria

Main lines, by angle (2θ = 10–80°):
2theta, d (Å), Rel. int.
15.6, 5.699, 37
27.1, 3.290, 42
33.3, 2.693, 95
34.9, 2.573, 100
36.3, 2.478, 41
38.4, 2.345, 45
46.8, 1.940, 19
53.1, 1.726, 31
55.9, 1.645, 40
62.3, 1.490, 24

Atomic structure:
```
data_Ce3PuCd2
_space_group_name_H-M_alt 'P 63/m m c'
_space_group_IT_number 194
_space_group_name_Hall '-P 6c 2c'
_cell_length_a 6.5801
_cell_length_b 6.5801
_cell_length_c 8.2548
_cell_angle_alpha 90.00
_cell_angle_beta 90.00
_cell_angle_gamma 120.00
loop_
_atom_site_label
_atom_site_type_symbol
_atom_site_fract_x
_atom_site_fract_y
_atom_site_fract_z
Ce1 Ce 0.1744 0.3489 0.2500
Pu1 Pu 0.0000 0.0000 0.0000
Cd1 Cd 0.3333 0.6667 0.5791
```


# 4
Computed XRD peak list
Compound: CePa2IrN5
Radiation: a wavelength of 1.5418 Å
Structure: the GGA-PBE geometry in Alexandria

Main lines, by angle (2θ = 10–80°):
2theta, d (Å), Rel. int.
30.3, 2.951, 42
31.3, 2.860, 100
31.5, 2.838, 47
38.3, 2.347, 41
39.0, 2.312, 21
49.6, 1.837, 19
50.1, 1.820, 20
54.4, 1.686, 22
58.7, 1.572, 14
63.7, 1.462, 14

Atomic structure:
```
data_CePa2IrN5
_space_group_name_H-M_alt 'I 4/m c m'
_space_group_IT_number 140
_space_group_name_Hall '-I 4 2c'
_cell_length_a 6.539
_cell_length_b 6.539
_cell_length_c 11.806
_cell_angle_alpha 90.00
_cell_angle_beta 90.00
_cell_angle_gamma 90.00
loop_
_atom_site_label
_atom_site_type_symbol
_atom_site_fract_x
_atom_site_fract_y
_atom_site_fract_z
Ce1 Ce 0.000 0.000 0.250
Pa1 Pa 0.177 0.323 0.000
Ir1 Ir 0.000 0.500 0.250
N1 N 0.000 0.000 0.000
N2 N 0.147 0.353 0.374
```


# 5
Computed XRD peak list
Compound: TlFeC3
Radiation: a wavelength of 1.5418 Å
Structure: the GGA-PBE geometry in Alexandria

Main lines, by angle (2θ = 10–80°):
2theta, d (Å), Rel. int.
22.8, 3.898, 31
32.5, 2.756, 100
40.1, 2.250, 18
46.6, 1.949, 24
52.5, 1.743, 16
58.0, 1.591, 39
68.0, 1.378, 15
72.8, 1.299, 8
77.4, 1.233, 17

Atomic structure:
```
data_TlFeC3
_space_group_name_H-M_alt 'P m -3 m'
_space_group_IT_number 221
_space_group_name_Hall '-P 4 2 3'
_cell_length_a 3.898
_cell_length_b 3.898
_cell_length_c 3.898
_cell_angle_alpha 90.00
_cell_angle_beta 90.00
_cell_angle_gamma 90.00
loop_
_atom_site_label
_atom_site_type_symbol
_atom_site_fract_x
_atom_site_fract_y
_atom_site_fract_z
Tl1 Tl 0.000 0.000 0.000
Fe1 Fe 0.500 0.500 0.500
C1 C 0.000 0.500 0.500
```


# 6
Computed XRD peak list
Compound: Hf8Fe2S
Radiation: a wavelength of 1.5418 Å
Structure: the GGA-PBE geometry in Alexandria

Main lines, by angle (2θ = 10–80°):
2theta, d (Å), Rel. int.
28.2, 3.167, 29
32.6, 2.744, 100
32.8, 2.733, 58
33.5, 2.673, 22
34.8, 2.579, 26
35.3, 2.546, 47
36.6, 2.458, 28
38.9, 2.316, 22
39.2, 2.296, 31
57.6, 1.601, 20

Atomic structure:
```
data_Hf8Fe2S
_space_group_name_H-M_alt 'P -1'
_space_group_IT_number 2
_cell_length_a 6.361
_cell_length_b 6.542
_cell_length_c 6.543
_cell_angle_alpha 104.67
_cell_angle_beta 94.37
_cell_angle_gamma 117.82
loop_
_space_group_symop_operation_xyz
'x,y,z'
'-x,-y,-z'
loop_
_atom_site_label
_atom_site_type_symbol
_atom_site_fract_x
_atom_site_fract_y
_atom_site_fract_z
Hf1 Hf 0.128 0.214 0.210
Hf2 Hf 0.225 0.733 0.108
Hf3 Hf 0.282 0.320 0.772
Hf4 Hf 0.311 0.770 0.620
Fe1 Fe 0.364 0.097 0.980
S1 S 0.500 0.500 0.500
```


# 7
Computed XRD peak list
Compound: K4Ac3PtO8
Radiation: a wavelength of 1.5418 Å
Structure: the GGA-PBE geometry in Alexandria

Main lines, by angle (2θ = 10–80°):
2theta, d (Å), Rel. int.
13.6, 6.494, 100
26.0, 3.431, 20
27.5, 3.247, 32
28.9, 3.092, 83
29.4, 3.043, 26
29.5, 3.025, 38
34.9, 2.569, 50
35.0, 2.561, 16
45.1, 2.010, 22
47.6, 1.910, 29

Atomic structure:
```
data_K4Ac3PtO8
_space_group_name_H-M_alt 'C 1 2/m 1'
_space_group_IT_number 12
_cell_length_a 13.726
_cell_length_b 7.191
_cell_length_c 7.366
_cell_angle_alpha 90.00
_cell_angle_beta 118.17
_cell_angle_gamma 90.00
loop_
_space_group_symop_operation_xyz
'x,y,z'
'-x,-y,-z'
'-x,y,-z'
'x,-y,z'
'x+1/2,y+1/2,z'
'-x+1/2,-y+1/2,-z'
'-x+1/2,y+1/2,-z'
'x+1/2,-y+1/2,z'
loop_
_atom_site_label
_atom_site_type_symbol
_atom_site_fract_x
_atom_site_fract_y
_atom_site_fract_z
K1 K 0.000 0.000 0.000
K2 K 0.000 0.500 0.000
K3 K 0.250 0.250 0.000
Ac1 Ac 0.000 0.000 0.500
Ac2 Ac 0.250 0.250 0.500
Pt1 Pt 0.000 0.500 0.500
O1 O 0.031 0.294 0.342
O2 O 0.203 0.000 0.248
O3 O 0.208 0.000 0.693
```


# 8
Computed XRD peak list
Compound: Dy2AgTe3
Radiation: a wavelength of 1.5418 Å
Structure: the GGA-PBE geometry in Alexandria

Main lines, by angle (2θ = 10–80°):
2theta, d (Å), Rel. int.
20.2, 4.401, 33
23.7, 3.758, 61
29.2, 3.054, 78
32.1, 2.792, 100
37.3, 2.408, 26
38.0, 2.370, 36
41.0, 2.200, 31
43.9, 2.061, 83
48.1, 1.891, 25
51.2, 1.785, 33

Atomic structure:
```
data_Dy2AgTe3
_space_group_name_H-M_alt 'C m m m'
_space_group_IT_number 65
_space_group_name_Hall '-C 2 2'
_cell_length_a 6.108
_cell_length_b 14.447
_cell_length_c 4.401
_cell_angle_alpha 90.00
_cell_angle_beta 90.00
_cell_angle_gamma 90.00
loop_
_atom_site_label
_atom_site_type_symbol
_atom_site_fract_x
_atom_site_fract_y
_atom_site_fract_z
Dy1 Dy 0.000 0.146 0.000
Ag1 Ag 0.000 0.500 0.500
Te1 Te 0.000 0.000 0.500
Te2 Te 0.000 0.353 0.000
```


# 9
Computed XRD peak list
Compound: Tb2ScFe9
Radiation: a wavelength of 1.5418 Å
Structure: the GGA-PBE geometry in Alexandria

Main lines, by angle (2θ = 10–80°):
2theta, d (Å), Rel. int.
10.9, 8.092, 35
25.2, 3.537, 28
33.0, 2.713, 47
35.7, 2.513, 54
36.1, 2.489, 34
41.7, 2.168, 38
42.3, 2.135, 100
44.2, 2.049, 26
45.7, 1.986, 30
46.1, 1.968, 32

Atomic structure:
```
data_Tb2ScFe9
_space_group_name_H-M_alt 'R -3 m'
_space_group_IT_number 166
_space_group_name_Hall '-R 3 2"'
_cell_length_a 5.0268
_cell_length_b 5.0268
_cell_length_c 24.2764
_cell_angle_alpha 90.00
_cell_angle_beta 90.00
_cell_angle_gamma 120.00
loop_
_atom_site_label
_atom_site_type_symbol
_atom_site_fract_x
_atom_site_fract_y
_atom_site_fract_z
Tb1 Tb 0.0000 0.0000 0.1409
Sc1 Sc 0.0000 0.0000 0.0000
Fe1 Fe 0.0000 0.0000 0.3329
Fe2 Fe 0.0000 0.0000 0.5000
Fe3 Fe 0.0001 0.5000 0.0802
```


# 10
Computed XRD peak list
Compound: SrTa2Mo
Radiation: a wavelength of 1.5418 Å
Structure: the GGA-PBE geometry in Alexandria

Main lines, by angle (2θ = 10–80°):
2theta, d (Å), Rel. int.
11.2, 7.912, 95
34.8, 2.579, 100
37.4, 2.404, 66
39.2, 2.300, 19
43.4, 2.084, 40
53.6, 1.710, 19
53.9, 1.700, 23
65.8, 1.419, 32
71.6, 1.318, 22
79.5, 1.206, 12

Atomic structure:
```
data_SrTa2Mo
_space_group_name_H-M_alt 'P 4 m m'
_space_group_IT_number 99
_cell_length_a 3.400
_cell_length_b 3.400
_cell_length_c 7.912
_cell_angle_alpha 90.00
_cell_angle_beta 90.00
_cell_angle_gamma 90.00
loop_
_space_group_symop_operation_xyz
'x,y,z'
'-y,x,z'
'-x,-y,z'
'y,-x,z'
'-x,y,z'
'y,x,z'
'x,-y,z'
'-y,-x,z'
loop_
_atom_site_label
_atom_site_type_symbol
_atom_site_fract_x
_atom_site_fract_y
_atom_site_fract_z
Sr1 Sr 0.000 0.000 0.000
Ta1 Ta 0.000 0.000 0.527
Ta2 Ta 0.500 0.500 0.342
Mo1 Mo 0.500 0.500 0.691
```


# 11
Computed XRD peak list
Compound: LiMo2Rh9
Radiation: a wavelength of 1.5418 Å
Structure: the GGA-PBE geometry in Alexandria

Main lines, by angle (2θ = 10–80°):
2theta, d (Å), Rel. int.
10.1, 8.782, 7
21.9, 4.066, 5
37.9, 2.376, 4
39.3, 2.293, 59
41.1, 2.195, 37
43.3, 2.090, 100
49.4, 1.845, 30
66.2, 1.412, 12
68.4, 1.372, 24
76.4, 1.246, 18

Atomic structure:
```
data_LiMo2Rh9
_space_group_name_H-M_alt 'R -3'
_space_group_IT_number 148
_space_group_name_Hall '-R 3'
_cell_length_a 4.7516
_cell_length_b 4.7516
_cell_length_c 26.3455
_cell_angle_alpha 90.00
_cell_angle_beta 90.00
_cell_angle_gamma 120.00
loop_
_atom_site_label
_atom_site_type_symbol
_atom_site_fract_x
_atom_site_fract_y
_atom_site_fract_z
Li1 Li 0.0000 0.0000 0.0000
Mo1 Mo 0.0000 0.0000 0.1651
Rh1 Rh 0.0000 0.0000 0.3331
Rh2 Rh 0.0000 0.0000 0.5000
Rh3 Rh 0.0029 0.6637 0.4171
```


# 12
Computed XRD peak list
Compound: CdHg6O8
Radiation: a wavelength of 1.5418 Å
Structure: the GGA-PBE geometry in Alexandria

Main lines, by angle (2θ = 10–80°):
2theta, d (Å), Rel. int.
21.2, 4.184, 14
27.1, 3.286, 34
31.3, 2.861, 100
33.6, 2.667, 19
35.1, 2.556, 81
47.8, 1.902, 22
53.1, 1.726, 31
60.6, 1.528, 24
62.9, 1.478, 13
65.2, 1.431, 13

Atomic structure:
```
data_CdHg6O8
_space_group_name_H-M_alt 'R -3'
_space_group_IT_number 148
_space_group_name_Hall '-R 3'
_cell_length_a 9.1338
_cell_length_b 9.1338
_cell_length_c 9.8588
_cell_angle_alpha 90.00
_cell_angle_beta 90.00
_cell_angle_gamma 120.00
loop_
_atom_site_label
_atom_site_type_symbol
_atom_site_fract_x
_atom_site_fract_y
_atom_site_fract_z
Cd1 Cd 0.0000 0.0000 0.0000
Hg1 Hg 0.0377 0.2379 0.7033
O1 O 0.0000 0.0000 0.3622
O2 O 0.0552 0.2517 0.1163
```


# 13
Computed XRD peak list
Compound: InNi2Bi2
Radiation: a wavelength of 1.5418 Å
Structure: the GGA-PBE geometry in Alexandria

Main lines, by angle (2θ = 10–80°):
2theta, d (Å), Rel. int.
25.4, 3.511, 13
29.0, 3.074, 100
35.4, 2.539, 18
35.5, 2.531, 21
40.1, 2.251, 15
40.9, 2.206, 29
47.0, 1.935, 24
51.0, 1.790, 21
59.8, 1.547, 27
62.4, 1.489, 15

Atomic structure:
```
data_InNi2Bi2
_space_group_name_H-M_alt 'I 4/m m m'
_space_group_IT_number 139
_space_group_name_Hall '-I 4 2'
_cell_length_a 3.579
_cell_length_b 3.579
_cell_length_c 18.006
_cell_angle_alpha 90.00
_cell_angle_beta 90.00
_cell_angle_gamma 90.00
loop_
_atom_site_label
_atom_site_type_symbol
_atom_site_fract_x
_atom_site_fract_y
_atom_site_fract_z
In1 In 0.000 0.000 0.000
Ni1 Ni 0.000 0.500 0.250
Bi1 Bi 0.000 0.000 0.361
```